1.
Computed X-ray diffraction stick pattern
Compound: Ta3ZnFe3O12F2
Radiation: Cu Kα
Structure: a DFT-relaxed cell (PBE+U, the Materials Project)
Kinematic intensities with the Lorentz-polarization factor, no thermal factor.

Top 6 peaks for 2θ from 10° to 90°, in order of falling intensity:
two_theta	I/Imax
33.98	100
18.58	73
26.82	54
25.97	45
52.10	29
28.19	17

Unit cell a=4.7690 b=3.1659 c=19.1381 alpha=90.00 beta=91.82 gamma=90.00
Positions (direct):
Ta: 0.0000 0.0000 0.0000
Ta: 0.0190 0.0000 0.2449
Ta: 0.1941 0.0000 0.7329
Zn: 0.5008 0.5000 0.8791
Fe: 0.1229 0.0000 0.4814
Fe: 0.5059 0.5000 0.1191
Fe: 0.6065 0.5000 0.3840
O: 0.2009 0.5000 0.9645
O: 0.2250 0.5000 0.2077
O: 0.2910 0.5000 0.4474
O: 0.3024 0.5000 0.6864
O: 0.3069 0.0000 0.0845
O: 0.3267 0.0000 0.8285
O: 0.7253 0.0000 0.9288
O: 0.7273 0.0000 0.1801
O: 0.7733 0.0000 0.4262
O: 0.8138 0.5000 0.0538
O: 0.8245 0.0000 0.7408
O: 0.8678 0.5000 0.3018
F: 0.0710 0.0000 0.5735
F: 0.3731 0.0000 0.3248

=====

2.
Computed X-ray diffraction stick pattern
Compound: Li9Mn2Co5O16
Radiation: Cu Kα
Structure: a DFT-relaxed cell (PBE+U, the Materials Project)
Kinematic intensities with the Lorentz-polarization factor, no thermal factor.

Top 6 peaks for 2θ from 10° to 90°, in order of falling intensity:
two_theta	I/Imax
18.31	100
40.98	34
44.14	26
45.02	24
34.18	20
62.49	15

Unit cell a=3.0167 b=6.4213 c=15.4952 alpha=88.72 beta=85.88 gamma=76.65
Positions (direct):
Li: 0.0000 0.0000 0.0000
Li: 0.0497 0.8869 0.1879
Li: 0.1861 0.6244 0.5649
Li: 0.3139 0.3727 0.9404
Li: 0.4318 0.1260 0.3129
Li: 0.5626 0.8757 0.6900
Li: 0.6807 0.6293 0.0599
Li: 0.8144 0.3733 0.4388
Li: 0.9444 0.1218 0.8137
Mn: 0.1324 0.7519 0.3771
Mn: 0.7480 0.4974 0.2481
Co: 0.2449 0.5039 0.7517
Co: 0.3710 0.2407 0.1187
Co: 0.4940 0.0055 0.5046
Co: 0.6258 0.7588 0.8801
Co: 0.8642 0.2528 0.6289
O: 0.0781 0.7938 0.7861
O: 0.1821 0.6928 0.9602
O: 0.2046 0.5385 0.1558
O: 0.3061 0.4487 0.3426
O: 0.3092 0.2990 0.5380
O: 0.4164 0.2102 0.7173
O: 0.4799 0.0335 0.9003
O: 0.5210 0.9673 0.0990
O: 0.5726 0.7985 0.2824
O: 0.6854 0.7066 0.4707
O: 0.6969 0.5472 0.6627
O: 0.7945 0.4639 0.8413
O: 0.8222 0.3070 0.0391
O: 0.9216 0.2017 0.2145
O: 0.9920 0.9597 0.5938
O: 0.9969 0.0503 0.4121

=====

3.
Computed X-ray diffraction stick pattern
Compound: NaCaEuFeO6
Radiation: Cu Kα
Structure: a DFT-relaxed cell (PBE+U, the Materials Project)
Kinematic intensities with the Lorentz-polarization factor, no thermal factor.

Top 6 peaks for 2θ from 10° to 90°, in order of falling intensity:
two_theta	I/Imax
31.29	100
21.99	65
44.84	40
55.69	38
50.48	25
19.01	23

Unit cell a=5.7173 b=5.7173 c=5.7173 alpha=60.00 beta=60.00 gamma=60.00
Positions (direct):
Na: 0.0000 0.0000 0.0000
Ca: 0.5000 0.5000 0.5000
Eu: 0.7500 0.7500 0.7500
Fe: 0.2500 0.2500 0.2500
O: 0.0191 0.0191 0.4809
O: 0.0191 0.4809 0.0191
O: 0.0191 0.4809 0.4809
O: 0.4809 0.0191 0.0191
O: 0.4809 0.0191 0.4809
O: 0.4809 0.4809 0.0191

=====

4.
Computed X-ray diffraction stick pattern
Compound: MnSnO3
Radiation: Cu Kα
Structure: a DFT-relaxed cell (PBE+U, the Materials Project)
Kinematic intensities with the Lorentz-polarization factor, no thermal factor.

Top 6 peaks for 2θ from 10° to 90°, in order of falling intensity:
two_theta	I/Imax
30.85	100
32.95	97
50.10	56
45.76	41
57.53	38
58.84	38

Unit cell a=5.8229 b=5.8229 c=5.8229 alpha=55.66 beta=55.66 gamma=55.66
Positions (direct):
Mn: 0.1382 0.1382 0.1382
Mn: 0.8618 0.8618 0.8618
Sn: 0.3488 0.3488 0.3488
Sn: 0.6512 0.6512 0.6512
O: 0.0545 0.4549 0.7297
O: 0.2703 0.9455 0.5451
O: 0.4549 0.7297 0.0545
O: 0.5451 0.2703 0.9455
O: 0.7297 0.0545 0.4549
O: 0.9455 0.5451 0.2703

=====

5.
Computed X-ray diffraction stick pattern
Compound: Ba3CoRu2O9
Radiation: Cu Kα
Structure: a DFT-relaxed cell (PBE+U, the Materials Project)
Kinematic intensities with the Lorentz-polarization factor, no thermal factor.

Top 6 peaks for 2θ from 10° to 90°, in order of falling intensity:
two_theta	I/Imax
30.83	100
30.70	58
54.78	43
44.06	34
25.77	21
64.23	19

Unit cell a=5.8003 b=5.8003 c=14.3002 alpha=90.00 beta=90.00 gamma=120.00
Positions (direct):
Ba: 0.0000 0.0000 0.2500
Ba: 0.0000 0.0000 0.7500
Ba: 0.3333 0.6667 0.0898
Ba: 0.3333 0.6667 0.4102
Ba: 0.6667 0.3333 0.5898
Ba: 0.6667 0.3333 0.9102
Co: 0.0000 0.0000 0.0000
Co: 0.0000 0.0000 0.5000
Ru: 0.3333 0.6667 0.6533
Ru: 0.3333 0.6667 0.8467
Ru: 0.6667 0.3333 0.1533
Ru: 0.6667 0.3333 0.3467
O: 0.0360 0.5180 0.7500
O: 0.1639 0.3278 0.5806
O: 0.1639 0.3278 0.9194
O: 0.1639 0.8361 0.5806
O: 0.1639 0.8361 0.9194
O: 0.3278 0.1639 0.0806
O: 0.3278 0.1639 0.4194
O: 0.4820 0.5180 0.7500
O: 0.4820 0.9640 0.7500
O: 0.5180 0.0360 0.2500
O: 0.5180 0.4820 0.2500
O: 0.6722 0.8361 0.5806
O: 0.6722 0.8361 0.9194
O: 0.8361 0.1639 0.0806
O: 0.8361 0.1639 0.4194
O: 0.8361 0.6722 0.0806
O: 0.8361 0.6722 0.4194
O: 0.9640 0.4820 0.2500

=====

6.
Computed X-ray diffraction stick pattern
Compound: Li9Mn2Co5O16
Radiation: Cu Kα
Structure: a DFT-relaxed cell (PBE+U, the Materials Project)
Kinematic intensities with the Lorentz-polarization factor, no thermal factor.

Top 6 peaks for 2θ from 10° to 90°, in order of falling intensity:
two_theta	I/Imax
18.30	100
43.72	55
43.18	28
36.08	26
62.73	15
35.83	15

Unit cell a=7.7358 b=7.7358 c=5.8766 alpha=111.77 beta=111.77 gamma=97.95
Positions (direct):
Li: 0.0000 0.0000 0.0000
Li: 0.0000 0.0000 0.5000
Li: 0.1230 0.3672 0.9953
Li: 0.2514 0.7486 0.0000
Li: 0.3672 0.1230 0.9953
Li: 0.5000 0.5000 0.0000
Li: 0.6328 0.8770 0.0047
Li: 0.7486 0.2514 0.0000
Li: 0.8770 0.6328 0.0047
Mn: 0.2493 0.7507 0.5000
Mn: 0.7507 0.2493 0.5000
Co: 0.1215 0.3648 0.4955
Co: 0.3648 0.1215 0.4955
Co: 0.5000 0.5000 0.5000
Co: 0.6352 0.8785 0.5045
Co: 0.8785 0.6352 0.5045
O: 0.0195 0.5141 0.2796
O: 0.1298 0.8580 0.7299
O: 0.1420 0.8702 0.2701
O: 0.2522 0.2522 0.2587
O: 0.2570 0.2570 0.7300
O: 0.3674 0.6223 0.7232
O: 0.3777 0.6326 0.2768
O: 0.4859 0.9805 0.7204
O: 0.5141 0.0195 0.2796
O: 0.6223 0.3674 0.7232
O: 0.6326 0.3777 0.2768
O: 0.7430 0.7430 0.2700
O: 0.7478 0.7478 0.7413
O: 0.8580 0.1298 0.7299
O: 0.8702 0.1420 0.2701
O: 0.9805 0.4859 0.7204

=====

7.
Computed X-ray diffraction stick pattern
Compound: Na3Li3Mn2P2C2O14
Radiation: Cu Kα
Structure: a DFT-relaxed cell (PBE+U, the Materials Project)
Kinematic intensities with the Lorentz-polarization factor, no thermal factor.

Top 6 peaks for 2θ from 10° to 90°, in order of falling intensity:
two_theta	I/Imax
10.06	100
26.21	65
35.13	28
25.99	27
36.06	24
34.41	22

Unit cell a=5.1175 b=6.8046 c=8.8119 alpha=88.18 beta=86.80 gamma=89.62
Positions (direct):
Na: 0.0000 0.0000 0.0000
Na: 0.0021 0.5092 0.0032
Na: 0.5278 0.5143 0.4987
Li: 0.0295 0.2273 0.3563
Li: 0.4833 0.7739 0.1498
Li: 0.5197 0.0431 0.5297
Mn: 0.0512 0.7720 0.6082
Mn: 0.4897 0.2553 0.8929
P: 0.5488 0.7619 0.8412
P: 0.9936 0.2620 0.6593
C: 0.5449 0.2429 0.2116
C: 0.9618 0.7645 0.3014
O: 0.0639 0.4541 0.5672
O: 0.0965 0.2589 0.8218
O: 0.1135 0.0923 0.5618
O: 0.2122 0.7578 0.3170
O: 0.2968 0.2441 0.1889
O: 0.4425 0.7801 0.6796
O: 0.4538 0.9344 0.9440
O: 0.4578 0.5712 0.9301
O: 0.6328 0.2357 0.3475
O: 0.6885 0.2377 0.6751
O: 0.7143 0.2500 0.0947
O: 0.8019 0.7873 0.4206
O: 0.8537 0.7647 0.8238
O: 0.8644 0.7499 0.1693

=====

Repeat the seventh record exactly.
Computed X-ray diffraction stick pattern
Compound: Na3Li3Mn2P2C2O14
Radiation: Cu Kα
Structure: a DFT-relaxed cell (PBE+U, the Materials Project)
Kinematic intensities with the Lorentz-polarization factor, no thermal factor.

Top 6 peaks for 2θ from 10° to 90°, in order of falling intensity:
two_theta	I/Imax
10.06	100
26.21	65
35.13	28
25.99	27
36.06	24
34.41	22

Unit cell a=5.1175 b=6.8046 c=8.8119 alpha=88.18 beta=86.80 gamma=89.62
Positions (direct):
Na: 0.0000 0.0000 0.0000
Na: 0.0021 0.5092 0.0032
Na: 0.5278 0.5143 0.4987
Li: 0.0295 0.2273 0.3563
Li: 0.4833 0.7739 0.1498
Li: 0.5197 0.0431 0.5297
Mn: 0.0512 0.7720 0.6082
Mn: 0.4897 0.2553 0.8929
P: 0.5488 0.7619 0.8412
P: 0.9936 0.2620 0.6593
C: 0.5449 0.2429 0.2116
C: 0.9618 0.7645 0.3014
O: 0.0639 0.4541 0.5672
O: 0.0965 0.2589 0.8218
O: 0.1135 0.0923 0.5618
O: 0.2122 0.7578 0.3170
O: 0.2968 0.2441 0.1889
O: 0.4425 0.7801 0.6796
O: 0.4538 0.9344 0.9440
O: 0.4578 0.5712 0.9301
O: 0.6328 0.2357 0.3475
O: 0.6885 0.2377 0.6751
O: 0.7143 0.2500 0.0947
O: 0.8019 0.7873 0.4206
O: 0.8537 0.7647 0.8238
O: 0.8644 0.7499 0.1693

=====

Number 6 is which compound?
Li9Mn2Co5O16